This entry pairs a crystal structure of LiVP4O12 with its computed powder XRD pattern. Radiation: CuKα. Structure: a cell relaxed with PBE+U.
Neutral-atom scattering factors, no anomalous dispersion.

Main lines, sorted by position (10° ≤ 2θ ≤ 90°):
Position (°2θ)  I/Imax
19.04  51
20.65  62
26.06  35
27.51  52
27.93  46
29.59  100

Crystal structure
```
LiVP4O12
1.0
5.948 -4.151 0.000
5.948 4.151 0.000
-4.924 0.000 8.801
Li V P O
2 2 8 24
Direct
0.000 0.500 0.000
0.500 0.000 0.500
0.056 0.944 0.250
0.944 0.056 0.750
0.251 0.729 0.522
0.271 0.749 0.978
0.289 0.309 0.301
0.309 0.289 0.801
0.691 0.711 0.199
0.711 0.691 0.699
0.729 0.251 0.022
0.749 0.271 0.478
0.088 0.848 0.598
0.120 0.270 0.820
0.152 0.912 0.902
0.188 0.730 0.088
0.190 0.350 0.154
0.216 0.500 0.438
0.270 0.120 0.320
0.270 0.812 0.412
0.302 0.534 0.850
0.350 0.190 0.654
0.466 0.698 0.650
0.500 0.216 0.938
0.500 0.784 0.062
0.534 0.302 0.350
0.650 0.810 0.346
0.698 0.466 0.150
0.730 0.188 0.588
0.730 0.880 0.680
0.784 0.500 0.562
0.810 0.650 0.846
0.812 0.270 0.912
0.848 0.088 0.098
0.880 0.730 0.180
0.912 0.152 0.402
```